No. 1
Simulated powder diffraction line list
Compound: Rb3SbCl6
Radiation: copper Kα
Structure: DFT lattice parameters and positions (PBE)
No peak broadening, texture or thermal motion is included.

Most intense lines, 2θ from 10° to 80°, in order of rising 2θ:
2θ (°)  d [Å]  intensity
21.8  4.080  100.0
31.0  2.885  74.8
38.2  2.355  45.3
44.4  2.040  50.4
50.0  1.824  24.3
60.0  1.542  26.9

Cell and atoms:
```
Rb3SbCl6
1.0
0.000 5.770 5.770
5.770 0.000 5.770
5.770 5.770 0.000
Rb Sb Cl
3 1 6
Cartesian
0.000 0.000 0.000 Rb
2.885 2.885 2.885 Rb
8.654 8.654 8.654 Rb
5.770 5.770 5.770 Sb
5.770 5.770 3.109 Cl
5.770 3.109 5.770 Cl
8.430 5.770 5.770 Cl
3.109 5.770 5.770 Cl
5.770 8.430 5.770 Cl
5.770 5.770 8.430 Cl
```

---

No. 2
Simulated powder diffraction line list
Compound: Rb2SbCl6
Radiation: copper Kα
Structure: DFT lattice parameters and positions (PBE)
No peak broadening, texture or thermal motion is included.

Most intense lines, 2θ from 10° to 80°, in order of rising 2θ:
2θ (°)  d [Å]  intensity
14.6  6.053  72.8
24.0  3.707  94.1
29.5  3.027  56.9
34.2  2.621  100.0
42.2  2.140  43.2
49.2  1.853  66.0

Cell and atoms:
```
Rb2SbCl6
1.0
0.000 5.242 5.242
5.242 0.000 5.242
5.242 5.242 0.000
Rb Sb Cl
2 1 6
Cartesian
2.621 2.621 2.621 Rb
7.863 7.863 7.863 Rb
0.000 0.000 0.000 Sb
5.242 5.242 2.539 Cl
5.242 2.539 5.242 Cl
7.946 5.242 5.242 Cl
2.539 5.242 5.242 Cl
5.242 7.946 5.242 Cl
5.242 5.242 7.946 Cl
```

---

No. 3
Simulated powder diffraction line list
Compound: Rb4TlSbCl12
Radiation: copper Kα
Structure: DFT lattice parameters and positions (PBE)
No peak broadening, texture or thermal motion is included.

Most intense lines, 2θ from 10° to 80°, in order of rising 2θ:
2θ (°)  d [Å]  intensity
14.6  6.080  100.0
23.7  3.750  36.2
24.0  3.710  60.8
28.0  3.192  33.0
33.8  2.651  63.3
49.1  1.855  31.0

Cell and atoms:
```
Rb4TlSbCl12
1.0
7.500 0.000 0.000
0.000 7.500 0.000
0.000 0.000 10.386
Rb Tl Sb Cl
4 1 1 12
Cartesian
0.000 3.750 2.218 Rb
0.000 3.750 8.168 Rb
3.750 0.000 2.218 Rb
3.750 0.000 8.168 Rb
0.000 0.000 0.000 Tl
3.750 3.750 5.193 Sb
0.000 0.000 2.609 Cl
0.000 0.000 7.777 Cl
1.870 1.870 0.000 Cl
1.870 5.630 0.000 Cl
2.040 2.040 5.193 Cl
2.040 5.459 5.193 Cl
3.750 3.750 2.766 Cl
3.750 3.750 7.620 Cl
5.459 2.040 5.193 Cl
5.459 5.459 5.193 Cl
5.630 1.870 0.000 Cl
5.630 5.630 0.000 Cl
```

---

No. 4
Simulated powder diffraction line list
Compound: RbScCl3
Radiation: copper Kα
Structure: DFT lattice parameters and positions (PBE)
No peak broadening, texture or thermal motion is included.

Most intense lines, 2θ from 10° to 80°, in order of rising 2θ:
2θ (°)  d [Å]  intensity
20.3  4.384  19.5
23.8  3.734  32.2
31.5  2.843  100.0
41.2  2.192  31.9
48.8  1.867  26.3
54.2  1.693  18.6

Cell and atoms:
```
RbScCl3
1.0
7.468 0.000 0.000
-3.734 6.468 0.000
0.000 0.000 5.963
Rb Sc Cl
2 2 6
Cartesian
0.000 4.312 1.491 Rb
3.734 2.156 4.472 Rb
0.000 0.000 0.000 Sc
0.000 0.000 2.981 Sc
0.000 2.123 4.472 Cl
-1.896 5.406 4.472 Cl
1.838 1.061 1.491 Cl
1.896 5.406 4.472 Cl
5.630 1.061 1.491 Cl
3.734 4.345 1.491 Cl
```

---

No. 5
Simulated powder diffraction line list
Compound: Rb3ScCl6
Radiation: copper Kα
Structure: DFT lattice parameters and positions (PBE)
No peak broadening, texture or thermal motion is included.

Most intense lines, 2θ from 10° to 80°, in order of rising 2θ:
2θ (°)  d [Å]  intensity
22.4  3.961  100.0
27.6  3.234  43.9
32.0  2.800  91.0
39.4  2.287  40.7
45.8  1.980  57.7
62.0  1.497  27.0

Cell and atoms:
```
Rb3ScCl6
1.0
0.000 5.601 5.601
5.601 0.000 5.601
5.601 5.601 0.000
Rb Sc Cl
3 1 6
Cartesian
0.000 0.000 0.000 Rb
2.800 2.800 2.800 Rb
8.401 8.401 8.401 Rb
5.601 5.601 5.601 Sc
5.601 5.601 3.104 Cl
5.601 3.104 5.601 Cl
8.098 5.601 5.601 Cl
3.104 5.601 5.601 Cl
5.601 8.098 5.601 Cl
5.601 5.601 8.098 Cl
```

---

No. 6
Simulated powder diffraction line list
Compound: Rb2ScTlCl6
Radiation: copper Kα
Structure: DFT lattice parameters and positions (PBE)
No peak broadening, texture or thermal motion is included.

Most intense lines, 2θ from 10° to 80°, in order of rising 2θ:
2θ (°)  d [Å]  intensity
22.6  3.932  100.0
26.6  3.353  29.1
32.2  2.780  64.5
39.7  2.270  43.8
46.2  1.966  42.7
62.5  1.486  26.9

Cell and atoms:
```
Rb2ScTlCl6
1.0
0.000 5.561 5.561
5.561 0.000 5.561
5.561 5.561 0.000
Rb Sc Tl Cl
2 1 1 6
Cartesian
2.780 2.780 2.780 Rb
8.341 8.341 8.341 Rb
0.000 0.000 0.000 Sc
5.561 5.561 5.561 Tl
5.561 5.561 2.499 Cl
5.561 2.499 5.561 Cl
8.622 5.561 5.561 Cl
2.499 5.561 5.561 Cl
5.561 8.622 5.561 Cl
5.561 5.561 8.622 Cl
```